(1)
For Pr3Ge4Ir2Pd2, a GGA-PBE-relaxed structure gives the calculated powder diffractogram in this record (CuKα).

Peak list (10 most intense, 10 to 80 degrees two-theta, sorted by position)
Position (°2θ), I_rel
32.77, 28
33.09, 100
36.76, 12
38.00, 14
41.76, 26
43.73, 23
44.38, 16
54.08, 13
62.06, 16
70.75, 11

Cell and atoms:
```
11
Lattice="-2.070 2.163 12.731 2.070 -2.163 12.731 2.070 2.163 -12.731" Properties=species:S:1:pos:R:3 pbc="T T T"
Pr 0.000 0.000 0.000
Pr 2.070 0.000 8.960
Pr 0.000 2.163 3.771
Ge 2.070 0.000 5.000
Ge 0.000 0.000 11.478
Ge 0.000 0.000 13.984
Ge 0.000 2.163 7.731
Ir 0.000 0.000 6.372
Ir 0.000 0.000 19.091
Pd 2.070 0.000 2.502
Pd 0.000 2.163 10.229
```

---

(2)
For Pr3Si2Ge2Ir2Pd2, a GGA-PBE-relaxed structure gives the calculated powder diffractogram in this record (CuKα).

Peak list (10 most intense, 10 to 80 degrees two-theta, sorted by position)
Position (°2θ), I_rel
28.20, 13
33.03, 19
33.48, 100
38.35, 15
42.44, 21
44.19, 18
62.93, 13
67.11, 11
71.93, 11
74.44, 12

Cell and atoms:
```
11
Lattice="-2.049 2.130 12.658 2.049 -2.130 12.658 2.049 2.130 -12.658" Properties=species:S:1:pos:R:3 pbc="T T T"
Pr 0.000 0.000 0.000
Pr 2.049 0.000 8.904
Pr 0.000 2.130 3.754
Si 2.049 0.000 5.056
Si 0.000 2.130 7.602
Ge 0.000 0.000 11.398
Ge 0.000 0.000 13.918
Ir 0.000 0.000 6.328
Ir 0.000 0.000 18.988
Pd 2.049 0.000 2.611
Pd 0.000 2.130 10.047
```

---

(3)
For Pr6GeIr2, a GGA-PBE-relaxed structure gives the calculated powder diffractogram in this record (CuKα).

Peak list (10 most intense, 10 to 80 degrees two-theta, sorted by position)
Position (°2θ), I_rel
29.68, 100
32.52, 65
34.82, 31
38.54, 29
39.66, 42
39.96, 21
52.91, 19
56.50, 30
62.64, 26
65.92, 16

Cell and atoms:
```
9
Lattice="7.872 0.000 0.000 -3.936 6.817 0.000 0.000 0.000 4.672" Properties=species:S:1:pos:R:3 pbc="T T T"
Pr -1.581 2.739 0.000
Pr -2.859 4.952 2.336
Pr 1.077 1.865 2.336
Pr 3.162 0.000 0.000
Pr 2.355 4.079 0.000
Pr 5.718 0.000 2.336
Ge 0.000 0.000 0.000
Ir 0.000 4.545 2.336
Ir 3.936 2.272 2.336
```